Tl3Co2F9: theoretical powder XRD pattern (Cu Kα (weighted mean of Kα1 and Kα2)), based on a DFT-relaxed cell (PBE+U, Alexandria).
Lines closer than 0.1° are merged.

Atomic structure:
```
data_Tl3Co2F9
_chemical_formula_sum 'Tl3 Co2 F9'
_symmetry_space_group_name_H-M 'P -3 m 1'
_symmetry_Int_Tables_number 164
_symmetry_space_group_name_Hall '-P 3 2"'
_cell_length_a 5.9659
_cell_length_b 5.9659
_cell_length_c 7.5629
_cell_angle_alpha 90.00
_cell_angle_beta 90.00
_cell_angle_gamma 120.00
loop_
_atom_site_label
_atom_site_type_symbol
_atom_site_fract_x
_atom_site_fract_y
_atom_site_fract_z
Tl1 Tl 0.0000 0.0000 0.0000
Tl2 Tl 0.3333 0.6667 0.3624
Co1 Co 0.3333 0.6667 0.8454
F1 F 0.0000 0.5000 0.0000
F2 F 0.1818 0.3637 0.7109
```

Most intense lines, 2θ = 5–70°, low angle first:
two_theta  intensity  (hkl)
20.82  88  0 1 1
29.27  100  1 0 2
29.96  91  1 1 0
36.76  50  2 0 1
42.37  59  0 2 2
48.12  23  1 2 1
51.47  18  0 1 4
52.76  39  2 1 2
53.18  19  3 0 0
62.25  19  2 2 0